Entry 1:
Calculated powder XRD pattern of Nd3Zn4Cu4 for a wavelength of 1.5418 Å, from DFT lattice parameters and positions (PBE).

Atomic structure:
Cell lengths 3.863, 4.240, 13.560 Å; angles 81.11, 81.85, 89.90 degrees
Sites, in units of the cell vectors:
Nd (0.000, 0.000, 0.000)
Nd (0.150, 0.650, 0.702)
Nd (0.850, 0.350, 0.298)
Zn (0.252, 0.253, 0.495)
Zn (0.402, 0.902, 0.194)
Zn (0.598, 0.098, 0.806)
Zn (0.748, 0.747, 0.505)
Cu (0.307, 0.809, 0.384)
Cu (0.451, 0.452, 0.095)
Cu (0.549, 0.548, 0.905)
Cu (0.693, 0.191, 0.616)

Principal peaks in the range 10 to 90 degrees two-theta, most intense first:
two_theta  intensity  (hkl)
34.19  100  1 1 3
33.12  51  1 0 -3
43.17  31  0 1 6
42.65  30  0 2 1
47.05  22  2 0 1
37.16  21  0 1 -4

---

Entry 2:
Calculated powder XRD pattern of La2SmSb3Pd4 for a wavelength of 1.5418 Å, from DFT lattice parameters and positions (PBE).

Atomic structure:
Cell lengths 4.574, 4.574, 11.577 Å; angles 90.00, 90.00, 90.00 degrees
Sites, in units of the cell vectors:
La (0.000, 0.500, 0.210)
La (0.500, 0.000, 0.790)
Sm (0.000, 0.000, 0.500)
Sb (0.000, 0.500, 0.872)
Sb (0.500, 0.000, 0.128)
Sb (0.500, 0.500, 0.500)
Pd (0.000, 0.000, 0.000)
Pd (0.000, 0.500, 0.646)
Pd (0.500, 0.000, 0.354)
Pd (0.500, 0.500, 0.000)

Principal peaks in the range 10 to 90 degrees two-theta, most intense first:
two_theta  intensity  (hkl)
31.69  100  1 1 2
39.40  65  2 0 0
41.89  43  1 1 4
30.30  35  1 0 3
66.64  28  3 1 2
56.94  22  2 2 0

---

Entry 3:
Calculated powder XRD pattern of BeSi2Ru for a wavelength of 1.5418 Å, from DFT lattice parameters and positions (PBE).

Atomic structure:
Cell lengths 3.026, 3.256, 4.901 Å; angles 90.00, 90.00, 90.00 degrees
Sites, in units of the cell vectors:
Be (0.000, 0.000, 0.000)
Si (0.000, 0.000, 0.512)
Si (0.500, 0.500, 0.783)
Ru (0.500, 0.500, 0.274)

Principal peaks in the range 10 to 90 degrees two-theta, most intense first:
two_theta  intensity  (hkl)
40.71  100  1 1 0
18.10  88  0 0 1
46.38  67  0 1 2
47.76  62  1 0 2
27.39  50  0 1 0
29.52  41  1 0 0

---

Entry 4:
Calculated powder XRD pattern of EuHoMgHg for a wavelength of 1.5418 Å, from DFT lattice parameters and positions (PBE).

Atomic structure:
Cell lengths 7.647, 7.647, 7.647 Å; angles 90.00, 90.00, 90.00 degrees
Sites, in units of the cell vectors:
Eu (0.000, 0.000, 0.000)
Eu (0.000, 0.500, 0.500)
Eu (0.500, 0.000, 0.500)
Eu (0.500, 0.500, 0.000)
Ho (0.000, 0.000, 0.500)
Ho (0.000, 0.500, 0.000)
Ho (0.500, 0.000, 0.000)
Ho (0.500, 0.500, 0.500)
Mg (0.250, 0.250, 0.750)
Mg (0.250, 0.750, 0.250)
Mg (0.750, 0.250, 0.250)
Mg (0.750, 0.750, 0.750)
Hg (0.250, 0.250, 0.250)
Hg (0.250, 0.750, 0.750)
Hg (0.750, 0.250, 0.750)
Hg (0.750, 0.750, 0.250)

Principal peaks in the range 10 to 90 degrees two-theta, most intense first:
two_theta  intensity  (hkl)
33.14  100  2 2 0
59.20  38  4 2 2
20.11  23  1 1 1
47.57  18  4 0 0
79.23  17  6 2 0
39.07  13  3 1 1